Record 1
Structure and computed powder X-ray diffraction pattern of Pd8Pt3 (a structure optimized by DFT (PBE); CuKα).

Main lines, by angle (5 to 70 degrees two-theta):
| Position (°2θ) | Rel. int. |
| --- | --- |
| 39.29 | 54 |
| 40.36 | 100 |
| 40.52 | 50 |
| 41.13 | 91 |
| 57.72 | 35 |
| 60.26 | 14 |

```
Pd8Pt3
1.0
-1.337 2.293 14.074
1.337 -2.293 14.074
1.337 2.293 -14.074
Pd Pt
8 3
Direct
0.046 0.046 0.000
0.230 0.230 0.000
0.318 0.818 0.500
0.410 0.910 0.500
0.590 0.090 0.500
0.682 0.182 0.500
0.770 0.770 0.000
0.954 0.954 0.000
0.138 0.638 0.500
0.500 0.500 0.000
0.862 0.362 0.500
```

---

Record 2
Structure and computed powder X-ray diffraction pattern of Ti4MnBe (a structure optimized by DFT (PBE); CuKα).

Main lines, by angle (5 to 70 degrees two-theta):
| Position (°2θ) | Rel. int. |
| --- | --- |
| 14.91 | 31 |
| 24.15 | 22 |
| 31.09 | 56 |
| 41.53 | 100 |
| 47.44 | 39 |
| 64.83 | 21 |

```
Ti4MnBe
1.0
3.770 -2.172 0.000
3.770 2.172 0.000
-2.498 0.000 5.941
Ti Mn Be
4 1 1
Direct
0.124 0.124 0.370
0.364 0.364 0.091
0.636 0.636 0.909
0.876 0.876 0.630
0.000 0.000 0.000
0.500 0.500 0.500
```

---

Record 3
Structure and computed powder X-ray diffraction pattern of ZnCoRe (a structure optimized by DFT (PBE); CuKα).

Main lines, by angle (5 to 70 degrees two-theta):
| Position (°2θ) | Rel. int. |
| --- | --- |
| 38.67 | 63 |
| 38.98 | 88 |
| 40.36 | 100 |
| 41.86 | 97 |
| 43.38 | 63 |
| 50.16 | 68 |

```
ZnCoRe
1.0
0.000 4.048 8.540
2.316 0.000 8.540
2.316 4.048 0.000
Zn Co Re
4 4 4
Direct
0.049 0.049 0.201
0.201 0.201 0.049
0.799 0.799 0.951
0.951 0.951 0.799
0.252 0.252 0.498
0.498 0.498 0.252
0.502 0.502 0.748
0.748 0.748 0.502
0.206 0.544 0.206
0.456 0.794 0.456
0.544 0.206 0.544
0.794 0.456 0.794
```

---

Record 4
Structure and computed powder X-ray diffraction pattern of PrPa2N4 (a structure optimized by DFT (PBE); CuKα).

Main lines, by angle (5 to 70 degrees two-theta):
| Position (°2θ) | Rel. int. |
| --- | --- |
| 27.91 | 33 |
| 29.01 | 100 |
| 30.78 | 38 |
| 31.39 | 40 |
| 50.01 | 34 |
| 53.67 | 34 |

```
PrPa2N4
1.0
1.746 -5.809 0.000
1.746 5.809 0.000
0.000 0.000 10.886
Pr Pa N
2 4 8
Direct
0.109 0.891 0.750
0.891 0.109 0.250
0.369 0.631 0.571
0.369 0.631 0.929
0.631 0.369 0.071
0.631 0.369 0.429
0.000 0.000 0.000
0.000 0.000 0.500
0.270 0.730 0.104
0.270 0.730 0.396
0.458 0.542 0.750
0.542 0.458 0.250
0.730 0.270 0.604
0.730 0.270 0.896
```